Entry 1:
Structure and calculated powder X-ray diffraction pattern of NaZn3H3S2O9 (DFT lattice parameters and positions (GGA-PBE); Cu Kα).

Structure:
```
NaZn3H3S2O9
1.0
5.963 0.000 0.000
-2.982 5.164 0.000
0.000 0.000 13.581
Na Zn H S O
2 6 6 4 18
Direct
0.000 0.000 0.000 Na
0.000 0.000 0.500 Na
0.000 0.345 0.269 Zn
0.000 0.655 0.769 Zn
0.345 0.000 0.269 Zn
0.345 0.345 0.769 Zn
0.655 0.000 0.769 Zn
0.655 0.655 0.269 Zn
0.000 0.000 0.183 H
0.000 0.000 0.683 H
0.333 0.667 0.388 H
0.333 0.667 0.888 H
0.667 0.333 0.147 H
0.667 0.333 0.647 H
0.333 0.667 0.076 S
0.333 0.667 0.576 S
0.667 0.333 0.456 S
0.667 0.333 0.956 S
0.000 0.000 0.255 O
0.000 0.000 0.755 O
0.144 0.398 0.121 O
0.144 0.745 0.621 O
0.255 0.398 0.621 O
0.255 0.856 0.121 O
0.333 0.667 0.316 O
0.333 0.667 0.816 O
0.396 0.152 0.411 O
0.396 0.244 0.911 O
0.602 0.745 0.121 O
0.602 0.856 0.621 O
0.667 0.333 0.219 O
0.667 0.333 0.719 O
0.756 0.152 0.911 O
0.756 0.604 0.411 O
0.848 0.244 0.411 O
0.848 0.604 0.911 O
```

Principal peaks in the range 2θ = 5–70°, by angle:
d (Å)  I_rel
6.790  74
4.111  22
2.912  100
2.837  26
2.730  31
2.490  34
2.008  25
1.721  25
1.626  18
1.535  23



Entry 2:
Structure and calculated powder X-ray diffraction pattern of KBeSe (DFT lattice parameters and positions (GGA-PBE); Cu Kα).

Structure:
```
KBeSe
1.0
4.694 0.000 0.000
0.000 4.930 4.584
0.000 -4.930 4.584
K Be Se
2 2 2
Direct
0.000 0.249 0.751 K
0.000 0.751 0.249 K
0.234 0.765 0.765 Be
0.766 0.765 0.765 Be
0.500 0.566 0.933 Se
0.500 0.933 0.566 Se
```

Principal peaks in the range 2θ = 5–70°, by angle:
d (Å)  I_rel
6.714  63
4.930  74
3.847  21
3.280  100
3.094  28
2.731  75
2.583  42
2.292  20
2.119  19
2.020  20



Entry 3:
Structure and calculated powder X-ray diffraction pattern of ScTiBeNb2 (DFT lattice parameters and positions (GGA-PBE); Cu Kα).

Structure:
```
ScTiBeNb2
1.0
4.650 0.000 0.000
0.000 4.650 0.000
0.000 0.000 4.970
Sc Ti Be Nb
1 1 1 2
Direct
0.000 0.000 0.000 Sc
0.000 0.000 0.500 Ti
0.500 0.500 0.000 Be
0.000 0.500 0.500 Nb
0.500 0.000 0.500 Nb
```

Principal peaks in the range 2θ = 5–70°, by angle:
d (Å)  I_rel
4.970  100
4.650  38
2.742  95
2.485  40
2.325  65
2.106  41
1.698  47
1.644  21
1.410  23
1.371  22



Entry 4:
Structure and calculated powder X-ray diffraction pattern of Pm4Pr2Sm2Mg (DFT lattice parameters and positions (GGA-PBE); Cu Kα).

Structure:
```
Pm4Pr2Sm2Mg
1.0
6.560 0.000 0.000
0.480 6.560 0.000
2.053 1.907 7.153
Pm Pr Sm Mg
4 2 2 1
Direct
0.130 0.183 0.281 Pm
0.322 0.672 0.907 Pm
0.678 0.328 0.093 Pm
0.870 0.817 0.719 Pm
0.293 0.629 0.388 Pr
0.707 0.371 0.612 Pr
0.169 0.205 0.807 Sm
0.831 0.795 0.193 Sm
0.500 0.000 0.500 Mg
```

Principal peaks in the range 2θ = 5–70°, by angle:
d (Å)  I_rel
3.528  19
3.482  15
3.165  33
2.831  100
2.817  47
2.794  44
2.749  35
2.725  30
1.920  19
1.622  13



Entry 5:
Structure and calculated powder X-ray diffraction pattern of KBa2GaSb2 (DFT lattice parameters and positions (GGA-PBE); Cu Kα).

Structure:
```
KBa2GaSb2
1.0
-3.601 8.933 3.598
3.601 -8.933 3.598
3.601 8.933 -3.598
K Ba Ga Sb
2 4 2 4
Direct
0.250 0.250 0.000 K
0.750 0.750 0.000 K
0.172 0.739 0.911 Ba
0.328 0.239 0.568 Ba
0.672 0.761 0.432 Ba
0.828 0.261 0.089 Ba
0.250 0.750 0.500 Ga
0.750 0.250 0.500 Ga
0.130 0.256 0.386 Sb
0.370 0.756 0.125 Sb
0.630 0.244 0.875 Sb
0.870 0.744 0.614 Sb
```

Principal peaks in the range 2θ = 5–70°, by angle:
d (Å)  I_rel
3.599  70
3.357  34
3.338  59
2.978  25
2.803  100
2.570  31
2.545  70
1.935  28
1.514  29
1.405  26



Entry 6:
Structure and calculated powder X-ray diffraction pattern of Ho2BeBPt6 (DFT lattice parameters and positions (GGA-PBE); Cu Kα).

Structure:
```
Ho2BeBPt6
1.0
2.798 1.615 6.244
-2.798 1.615 6.244
0.000 -3.231 6.244
Ho Be B Pt
2 1 1 6
Direct
0.208 0.208 0.208 Ho
0.792 0.792 0.792 Ho
0.500 0.500 0.500 Be
0.000 0.000 0.000 B
0.242 0.242 0.725 Pt
0.242 0.725 0.242 Pt
0.275 0.758 0.758 Pt
0.725 0.242 0.242 Pt
0.758 0.275 0.758 Pt
0.758 0.758 0.275 Pt
```

Principal peaks in the range 2θ = 5–70°, by angle:
d (Å)  I_rel
3.122  32
2.964  24
2.553  12
2.346  100
2.152  56
2.083  11
1.684  9
1.670  8
1.512  9
1.399  20



Entry 7:
Structure and calculated powder X-ray diffraction pattern of Al5ZnIr6 (DFT lattice parameters and positions (GGA-PBE); Cu Kα).

Structure:
```
Al5ZnIr6
1.0
2.136 -6.411 0.000
2.136 6.411 0.000
0.000 0.000 6.026
Al Zn Ir
5 1 6
Direct
0.000 0.000 0.000 Al
0.333 0.667 0.000 Al
0.335 0.665 0.500 Al
0.665 0.335 0.500 Al
0.667 0.333 0.000 Al
0.000 0.000 0.500 Zn
0.168 0.832 0.249 Ir
0.168 0.832 0.751 Ir
0.500 0.500 0.246 Ir
0.500 0.500 0.754 Ir
0.832 0.168 0.249 Ir
0.832 0.168 0.751 Ir
```

Principal peaks in the range 2θ = 5–70°, by angle:
d (Å)  I_rel
3.019  62
2.134  100
1.743  17
1.511  11
1.506  6
1.351  15
1.348  8



Which formula does entry 6 have?
Ho2BeBPt6